Structure and simulated X-ray powder pattern of Li2PrHoCd4 (a cell relaxed with GGA-PBE; Cu Kα (λ = 1.5418 Å)).
No peak broadening, texture or thermal motion is included.

Unit cell a=5.1050 b=5.1050 c=25.1874 alpha=90.00 beta=90.00 gamma=120.00
Space group R-3m (No. 166, hexagonal axes)
Unique sites:
Li 0.0000 0.0000 0.2482 [6 per cell]
Pr 0.0000 0.0000 0.0000 [3 per cell]
Ho 0.0000 0.0000 0.5000 [3 per cell]
Cd 0.0000 0.0000 0.1276 [6 per cell]
Cd 0.0000 0.0000 0.3786 [6 per cell]

Most intense lines, 2θ from 10° to 90°, by angle:
2θ (°)  Rel. int.  (hkl)
21.16  16  0 0 6
21.30  52  0 1 2
34.99  100  0 1 8
35.16  100  1 1 0
41.43  27  2 0 2
50.44  35  2 0 8
62.64  17  1 0 16
62.97  35  1 2 8
63.08  18  3 0 0
84.86  15  3 1 8